Computed X-ray powder pattern
Compound: Ta3BeIr
Radiation: Cu Kα, 1.54184 Å
Structure: a crystal structure in Alexandria, relaxed with GGA-PBE

Largest 8 diffraction maxima, sorted by position, 10° ≤ 2θ ≤ 90°:
2θ/deg  d [Å]  intensity  h k l
17.43  5.087  19  0 1 1
33.43  2.681  27  1 0 -1
35.29  2.544  100  0 2 2
37.35  2.408  21  1 2 0
39.57  2.278  58  0 4 0
41.08  2.197  24  1 0 -2
41.47  2.178  80  1 2 1
58.32  1.582  34  1 0 3

Crystal structure
```
10
Lattice="2.8510 0.0000 0.0000 0.0000 9.1103 0.0000 -0.6304 0.0000 6.1320" Properties=species:S:1:pos:R:3 pbc="T T T"
Ta -0.3098 2.2776 3.0554
Ta 0.3872 0.0130 4.5772
Ta 0.3872 4.5422 4.5772
Ta 1.8335 4.5682 1.5548
Ta 1.8335 9.0973 1.5548
Ta 2.5305 6.8328 3.0766
Be 0.7946 6.8328 1.0434
Be 1.4260 2.2776 5.0887
Ir 0.6587 2.2776 0.6434
Ir 1.5619 6.8328 5.4886
```